Calculated X-ray powder pattern
Compound: AcSmOs
Radiation: a wavelength of 1.5418 Å
Structure: a PBE-relaxed structure

Principal peaks in the range 5° ≤ 2θ ≤ 70°, low angle first:
2θ/deg, I (rel.)
14.4, 36
25.3, 25
29.0, 100
30.6, 55
34.4, 70
37.8, 29
38.3, 63
44.7, 24
46.9, 22
54.1, 18

Crystal structure
abc: 4.0586 7.0542 12.6336
angles: 90.00 90.00 90.00
Space group Immm (No. 71)
Symmetry-distinct sites (fractional):
Ac 0.0000 0.0000 0.2199
Sm 0.0000 0.2345 0.5000
Os 0.0000 0.5000 0.1093

***

Calculated X-ray powder pattern
Compound: Ac12SnOs5
Radiation: a wavelength of 1.5418 Å
Structure: a PBE-relaxed structure

Principal peaks in the range 5° ≤ 2θ ≤ 70°, low angle first:
2θ/deg, I (rel.)
27.5, 28
29.2, 100
31.0, 63
31.5, 96
32.1, 85
32.4, 41
35.1, 36
35.8, 26
36.6, 29
54.6, 41

Crystal structure
abc: 10.2227 10.4689 11.1138
angles: 90.00 90.00 90.00
Space group Immm (No. 71)
Symmetry-distinct sites (fractional):
Ac 0.0000 0.1875 0.2260
Ac 0.1808 0.5000 0.1705
Ac 0.2225 0.3204 0.5000
Sn 0.0000 0.0000 0.5000
Os 0.0000 0.0000 0.0000
Os 0.0000 0.3352 0.0000
Os 0.0000 0.5000 0.3885